This entry pairs a crystal structure of Ca2IrBr with its theoretical X-ray diffraction stick pattern. Radiation: a wavelength of 1.5418 Å. Structure: a structure optimized by DFT (GGA-PBE).
Neutral-atom scattering factors, no anomalous dispersion.

Structure:
```
data_Ca2IrBr
_space_group_name_H-M_alt 'P 4 m m'
_space_group_IT_number 99
_cell_length_a 4.207
_cell_length_b 4.207
_cell_length_c 5.781
_cell_angle_alpha 90.00
_cell_angle_beta 90.00
_cell_angle_gamma 90.00
loop_
_space_group_symop_operation_xyz
'x,y,z'
'-y,x,z'
'-x,-y,z'
'y,-x,z'
'-x,y,z'
'y,x,z'
'x,-y,z'
'-y,-x,z'
loop_
_atom_site_label
_atom_site_fract_x
_atom_site_fract_y
_atom_site_fract_z
_atom_site_occupancy
Ca1 0.000 0.000 0.000 1
Ca2 0.500 0.500 0.495 1
Ir1 0.000 0.000 0.496 1
Br1 0.500 0.500 0.995 1
```

Principal peaks in the range 2θ = 10–90°, by angle:
hkl 0 0 1, 15.33 deg, 5.781 Å, I 21
hkl 1 0 0, 21.12 deg, 4.207 Å, I 20
hkl 1 0 1, 26.20 deg, 3.401 Å, I 75
hkl 1 1 0, 30.04 deg, 2.975 Å, I 100
hkl 0 0 2, 30.94 deg, 2.890 Å, I 46
hkl 2 0 0, 43.00 deg, 2.103 Å, I 37
hkl 1 1 2, 43.67 deg, 2.073 Å, I 71
hkl 2 1 1, 51.05 deg, 1.789 Å, I 26
hkl 2 0 2, 53.91 deg, 1.701 Å, I 37
hkl 3 1 2, 79.28 deg, 1.208 Å, I 24

This entry pairs a crystal structure of Zr8Co3Cu with its theoretical X-ray diffraction stick pattern. Radiation: a wavelength of 1.5418 Å. Structure: a structure optimized by DFT (GGA-PBE).
Neutral-atom scattering factors, no anomalous dispersion.

Structure:
```
data_Zr8Co3Cu
_space_group_name_H-M_alt 'C 2 2 2'
_space_group_IT_number 21
_cell_length_a 5.378
_cell_length_b 9.206
_cell_length_c 9.034
_cell_angle_alpha 90.00
_cell_angle_beta 90.00
_cell_angle_gamma 90.00
loop_
_space_group_symop_operation_xyz
'x,y,z'
'-x,-y,z'
'x,-y,-z'
'-x,y,-z'
'x+1/2,y+1/2,z'
'-x+1/2,-y+1/2,z'
'x+1/2,-y+1/2,-z'
'-x+1/2,y+1/2,-z'
loop_
_atom_site_label
_atom_site_fract_x
_atom_site_fract_y
_atom_site_fract_z
_atom_site_occupancy
Zr1 0.247 0.084 0.257 1
Zr2 0.250 0.250 0.583 1
Zr3 0.250 0.250 0.916 1
Co1 0.000 0.000 0.000 1
Co2 0.000 0.000 0.500 1
Co3 0.000 0.500 0.500 1
Cu1 0.000 0.500 0.000 1
```

Principal peaks in the range 2θ = 10–90°, by angle:
hkl 2 0 0, 33.32 deg, 2.689 Å, I 22
hkl 1 3 1, 35.10 deg, 2.556 Å, I 100
hkl 1 1 3, 35.53 deg, 2.527 Å, I 97
hkl 2 2 0, 38.78 deg, 2.322 Å, I 24
hkl 2 0 2, 38.98 deg, 2.311 Å, I 23
hkl 2 2 2, 43.84 deg, 2.065 Å, I 66
hkl 0 4 2, 44.17 deg, 2.051 Å, I 34
hkl 0 2 4, 44.70 deg, 2.027 Å, I 31
hkl 3 3 1, 60.70 deg, 1.526 Å, I 19
hkl 1 5 3, 61.52 deg, 1.507 Å, I 21

This entry pairs a crystal structure of Ca4H2N with its theoretical X-ray diffraction stick pattern. Radiation: a wavelength of 1.5418 Å. Structure: a structure optimized by DFT (GGA-PBE).
Neutral-atom scattering factors, no anomalous dispersion.

Structure:
```
data_Ca4H2N
_space_group_name_H-M_alt 'I -4 2 m'
_space_group_IT_number 121
_space_group_name_Hall 'I -4 2'
_cell_length_a 6.026
_cell_length_b 6.026
_cell_length_c 8.918
_cell_angle_alpha 90.00
_cell_angle_beta 90.00
_cell_angle_gamma 90.00
loop_
_atom_site_label
_atom_site_fract_x
_atom_site_fract_y
_atom_site_fract_z
_atom_site_occupancy
Ca1 0.224 0.224 0.131 1
H1 0.000 0.500 0.250 1
N1 0.000 0.000 0.000 1
```

Principal peaks in the range 2θ = 10–90°, by angle:
hkl 1 0 1, 17.76 deg, 4.993 Å, I 15
hkl 1 1 2, 28.98 deg, 3.081 Å, I 100
hkl 2 0 0, 29.65 deg, 3.013 Å, I 35
hkl 2 1 1, 34.78 deg, 2.580 Å, I 7
hkl 0 0 4, 40.46 deg, 2.230 Å, I 8
hkl 2 2 0, 42.43 deg, 2.130 Å, I 17
hkl 2 0 4, 50.95 deg, 1.792 Å, I 20
hkl 3 1 2, 52.20 deg, 1.752 Å, I 27
hkl 2 2 4, 60.07 deg, 1.540 Å, I 7
hkl 1 1 6, 66.64 deg, 1.403 Å, I 7

This entry pairs a crystal structure of AcSmEr5 with its theoretical X-ray diffraction stick pattern. Radiation: a wavelength of 1.5418 Å. Structure: a structure optimized by DFT (GGA-PBE).
Neutral-atom scattering factors, no anomalous dispersion.

Structure:
```
data_AcSmEr5
_space_group_name_H-M_alt 'C m m m'
_space_group_IT_number 65
_space_group_name_Hall '-C 2 2'
_cell_length_a 6.787
_cell_length_b 10.566
_cell_length_c 7.036
_cell_angle_alpha 90.00
_cell_angle_beta 90.00
_cell_angle_gamma 90.00
loop_
_atom_site_label
_atom_site_fract_x
_atom_site_fract_y
_atom_site_fract_z
_atom_site_occupancy
Ac1 0.000 0.000 0.000 1
Sm1 0.000 0.500 0.500 1
Er1 0.000 0.000 0.500 1
Er2 0.250 0.250 0.262 1
```

Principal peaks in the range 2θ = 10–90°, by angle:
hkl 1 1 0, 15.52 deg, 5.711 Å, I 19
hkl 1 1 1, 20.03 deg, 4.434 Å, I 16
hkl 0 2 2, 30.53 deg, 2.928 Å, I 100
hkl 2 2 0, 31.33 deg, 2.855 Å, I 100
hkl 0 4 0, 33.93 deg, 2.642 Å, I 41
hkl 2 0 2, 36.80 deg, 2.442 Å, I 61
hkl 2 4 2, 50.92 deg, 1.793 Å, I 49
hkl 0 6 2, 58.62 deg, 1.575 Å, I 16
hkl 2 2 4, 61.96 deg, 1.498 Å, I 26
hkl 4 2 2, 63.35 deg, 1.468 Å, I 25

This entry pairs a crystal structure of Pm4Sc4Pb7 with its theoretical X-ray diffraction stick pattern. Radiation: a wavelength of 1.5418 Å. Structure: a structure optimized by DFT (GGA-PBE).
Neutral-atom scattering factors, no anomalous dispersion.

Structure:
```
data_Pm4Sc4Pb7
_space_group_name_H-M_alt 'I 4/m m m'
_space_group_IT_number 139
_space_group_name_Hall '-I 4 2'
_cell_length_a 16.069
_cell_length_b 16.069
_cell_length_c 6.548
_cell_angle_alpha 90.00
_cell_angle_beta 90.00
_cell_angle_gamma 90.00
loop_
_atom_site_label
_atom_site_fract_x
_atom_site_fract_y
_atom_site_fract_z
_atom_site_occupancy
Pm1 0.000 0.189 0.000 1
Pm2 0.134 0.134 0.500 1
Sc1 0.150 0.350 0.250 1
Pb1 0.000 0.000 0.249 1
Pb2 0.000 0.278 0.500 1
Pb3 0.000 0.402 0.000 1
Pb4 0.200 0.200 0.000 1
```

Principal peaks in the range 2θ = 10–90°, by angle:
hkl 0 0 2, 27.24 deg, 3.274 Å, I 25
hkl 5 0 1, 31.00 deg, 2.885 Å, I 100
hkl 4 4 0, 31.51 deg, 2.839 Å, I 13
hkl 3 1 2, 32.53 deg, 2.752 Å, I 31
hkl 6 0 0, 33.46 deg, 2.678 Å, I 14
hkl 4 2 2, 37.15 deg, 2.420 Å, I 13
hkl 5 5 0, 39.66 deg, 2.272 Å, I 12
hkl 6 2 2, 45.17 deg, 2.007 Å, I 15
hkl 6 5 1, 46.26 deg, 1.963 Å, I 13
hkl 5 0 3, 50.55 deg, 1.806 Å, I 27

This entry pairs a crystal structure of RbCaPuCl6 with its theoretical X-ray diffraction stick pattern. Radiation: a wavelength of 1.5418 Å. Structure: a structure optimized by DFT (GGA-PBE).
Neutral-atom scattering factors, no anomalous dispersion.

Structure:
```
data_RbCaPuCl6
_space_group_name_H-M_alt 'P -3 1 c'
_space_group_IT_number 163
_space_group_name_Hall '-P 3 2c'
_cell_length_a 7.2580
_cell_length_b 7.2580
_cell_length_c 14.1383
_cell_angle_alpha 90.00
_cell_angle_beta 90.00
_cell_angle_gamma 120.00
loop_
_atom_site_label
_atom_site_fract_x
_atom_site_fract_y
_atom_site_fract_z
_atom_site_occupancy
Rb1 0.0000 0.0000 0.0000 1
Ca1 0.3333 0.6667 0.2500 1
Pu1 0.3333 0.6667 0.7500 1
Cl1 0.0024 0.3729 0.6430 1
```

Principal peaks in the range 2θ = 10–90°, by angle:
hkl 0 0 2, 12.52 deg, 7.069 Å, I 45
hkl 1 0 1, 15.43 deg, 5.744 Å, I 76
hkl 1 0 2, 18.89 deg, 4.697 Å, I 100
hkl 1 0 3, 23.60 deg, 3.771 Å, I 29
hkl 1 1 0, 24.53 deg, 3.629 Å, I 32
hkl 1 1 2, 27.63 deg, 3.228 Å, I 43
hkl 2 0 2, 31.14 deg, 2.872 Å, I 24
hkl 1 1 4, 35.45 deg, 2.532 Å, I 82
hkl 2 1 2, 40.04 deg, 2.252 Å, I 30
hkl 3 0 0, 43.18 deg, 2.095 Å, I 32

This entry pairs a crystal structure of Pr12HoTm5 with its theoretical X-ray diffraction stick pattern. Radiation: a wavelength of 1.5418 Å. Structure: a structure optimized by DFT (GGA-PBE).
Neutral-atom scattering factors, no anomalous dispersion.

Structure:
```
data_Pr12HoTm5
_space_group_name_H-M_alt 'C m m m'
_space_group_IT_number 65
_space_group_name_Hall '-C 2 2'
_cell_length_a 15.359
_cell_length_b 15.515
_cell_length_c 5.174
_cell_angle_alpha 90.00
_cell_angle_beta 90.00
_cell_angle_gamma 90.00
loop_
_atom_site_label
_atom_site_fract_x
_atom_site_fract_y
_atom_site_fract_z
_atom_site_occupancy
Pr1 0.164 0.000 0.000 1
Pr2 0.164 0.167 0.500 1
Pr3 0.164 0.333 0.000 1
Pr4 0.165 0.500 0.500 1
Ho1 0.000 0.500 0.000 1
Tm1 0.000 0.000 0.500 1
Tm2 0.000 0.167 0.000 1
Tm3 0.000 0.333 0.500 1
```

Principal peaks in the range 2θ = 10–90°, by angle:
hkl 3 3 1, 30.03 deg, 2.976 Å, I 100
hkl 0 6 0, 34.68 deg, 2.586 Å, I 34
hkl 6 0 0, 35.06 deg, 2.560 Å, I 17
hkl 0 6 2, 49.87 deg, 1.829 Å, I 12
hkl 6 6 0, 50.14 deg, 1.819 Å, I 24
hkl 3 9 1, 59.31 deg, 1.558 Å, I 29
hkl 9 3 1, 59.80 deg, 1.546 Å, I 14
hkl 6 6 2, 62.41 deg, 1.488 Å, I 12
hkl 3 9 3, 81.08 deg, 1.186 Å, I 6
hkl 9 9 1, 81.51 deg, 1.181 Å, I 12

This entry pairs a crystal structure of La3Er8Tm3 with its theoretical X-ray diffraction stick pattern. Radiation: a wavelength of 1.5418 Å. Structure: a structure optimized by DFT (GGA-PBE).
Neutral-atom scattering factors, no anomalous dispersion.

Structure:
```
data_La3Er8Tm3
_space_group_name_H-M_alt 'I m m m'
_space_group_IT_number 71
_space_group_name_Hall '-I 2 2'
_cell_length_a 5.639
_cell_length_b 10.748
_cell_length_c 15.075
_cell_angle_alpha 90.00
_cell_angle_beta 90.00
_cell_angle_gamma 90.00
loop_
_atom_site_label
_atom_site_fract_x
_atom_site_fract_y
_atom_site_fract_z
_atom_site_occupancy
La1 0.000 0.000 0.000 1
La2 0.000 0.500 0.315 1
Er1 0.000 0.162 0.281 1
Er2 0.000 0.342 0.101 1
Tm1 0.000 0.000 0.500 1
Tm2 0.000 0.295 0.500 1
```

Principal peaks in the range 2θ = 10–90°, by angle:
hkl 1 1 4, 29.70 deg, 3.008 Å, I 30
hkl 0 3 3, 30.65 deg, 2.917 Å, I 29
hkl 2 0 0, 31.73 deg, 2.820 Å, I 53
hkl 1 3 2, 31.89 deg, 2.807 Å, I 100
hkl 1 0 5, 33.71 deg, 2.659 Å, I 60
hkl 2 3 3, 44.70 deg, 2.027 Å, I 21
hkl 3 3 2, 56.63 deg, 1.625 Å, I 20
hkl 3 0 5, 57.80 deg, 1.595 Å, I 13
hkl 2 6 0, 61.31 deg, 1.512 Å, I 12
hkl 1 6 5, 62.51 deg, 1.486 Å, I 15

This entry pairs a crystal structure of Ca5CrN4Cl2 with its theoretical X-ray diffraction stick pattern. Radiation: a wavelength of 1.5418 Å. Structure: a structure optimized by DFT (GGA-PBE).
Neutral-atom scattering factors, no anomalous dispersion.

Structure:
```
data_Ca5CrN4Cl2
_space_group_name_H-M_alt 'A m m 2'
_space_group_IT_number 38
_cell_length_a 7.827
_cell_length_b 9.099
_cell_length_c 5.965
_cell_angle_alpha 90.00
_cell_angle_beta 90.00
_cell_angle_gamma 90.00
loop_
_space_group_symop_operation_xyz
'x,y,z'
'-x,-y,z'
'-x,y,z'
'x,-y,z'
'x,y+1/2,z+1/2'
'-x,-y+1/2,z+1/2'
'-x,y+1/2,z+1/2'
'x,-y+1/2,z+1/2'
loop_
_atom_site_label
_atom_site_fract_x
_atom_site_fract_y
_atom_site_fract_z
_atom_site_occupancy
Ca1 0.000 0.000 0.000 1
Ca2 0.310 0.190 0.378 1
Cr1 0.500 0.000 0.902 1
N1 0.296 0.000 0.083 1
N2 0.500 0.158 0.693 1
Cl1 0.000 0.185 0.630 1
```

Principal peaks in the range 2θ = 10–90°, by angle:
hkl 2 1 1, 29.00 deg, 3.079 Å, I 65
hkl 1 0 2, 32.11 deg, 2.787 Å, I 37
hkl 0 3 1, 33.14 deg, 2.704 Å, I 100
hkl 3 0 0, 34.37 deg, 2.609 Å, I 24
hkl 1 3 1, 35.12 deg, 2.555 Å, I 18
hkl 2 0 2, 37.92 deg, 2.373 Å, I 21
hkl 2 3 1, 40.56 deg, 2.224 Å, I 18
hkl 2 2 2, 43.00 deg, 2.103 Å, I 57
hkl 3 3 1, 48.49 deg, 1.877 Å, I 19
hkl 2 5 1, 57.99 deg, 1.590 Å, I 18